This entry pairs a crystal structure of Sr3Pb4 with its simulated powder X-ray diffraction pattern. Radiation: Cu Kα (λ = 1.5418 Å). Structure: a DFT-relaxed cell (GGA-PBE, Alexandria).

Peak list (10 most intense, 15 to 90 degrees two-theta, in order of falling intensity)
two_theta  I_rel
28.85  100
32.50  98
35.66  49
17.97  36
36.41  33
28.08  32
19.80  31
51.89  25
15.38  18
37.89  18

Structure:
Cell lengths 6.642, 6.642, 16.560 Å; angles 90.01, 90.01, 44.54 degrees
Fractional coordinates of all 14 atoms:
1 Sr 0.000 0.000 0.000
2 Sr 0.000 0.000 0.303
3 Sr 0.274 0.274 0.152
4 Sr 0.338 0.338 0.652
5 Sr 0.612 0.612 0.803
6 Sr 0.613 0.613 0.500
7 Pb 0.062 0.062 0.652
8 Pb 0.306 0.306 0.401
9 Pb 0.307 0.307 0.902
10 Pb 0.550 0.550 0.152
11 Pb 0.711 0.711 0.007
12 Pb 0.711 0.711 0.296
13 Pb 0.901 0.901 0.507
14 Pb 0.901 0.901 0.796